Entry 1:
Theoretical X-ray powder pattern of Ba2V2ZnO8 for Cu Kα (λ = 1.5418 Å), from a crystal structure in the Materials Project, relaxed with PBE+U.
Peak positions follow from Bragg's law for the DFT cell and can differ from measured ones.

Most intense lines, 2θ from 10° to 90°, in order of rising 2θ:
| Position (°2θ) | I_rel | h k l |
| --- | --- | --- |
| 24.22 | 40 | 1 3 1 |
| 24.29 | 33 | 1 4 0 |
| 26.76 | 97 | 2 1 -1 |
| 26.90 | 100 | 2 1 1 |
| 28.21 | 60 | 1 4 1 |
| 28.47 | 49 | 0 0 2 |
| 29.32 | 81 | 1 5 0 |
| 30.51 | 32 | 0 2 2 |
| 31.12 | 34 | 1 1 2 |
| 37.50 | 31 | 1 6 1 |
| 40.06 | 43 | 3 4 0 |
| 49.74 | 27 | 3 6 1 |

Crystal structure
```
data_Ba2V2ZnO8
_chemical_formula_sum 'Ba8 V8 Zn4 O32'
_space_group_name_H-M_alt 'P 1 21/c 1'
_space_group_IT_number 14
_space_group_name_Hall '-P 2ybc'
_cell_length_a 8.0677
_cell_length_b 16.4496
_cell_length_c 6.2705
_cell_angle_alpha 90.00
_cell_angle_beta 90.33
_cell_angle_gamma 90.00
loop_
_atom_site_label
_atom_site_fract_x
_atom_site_fract_y
_atom_site_fract_z
Ba1 0.1388 0.0425 0.2370
Ba2 0.3563 0.6293 0.2227
V1 0.0950 0.6697 0.7641
V2 0.3764 0.0911 0.7536
Zn1 0.2270 0.2500 0.4978
O1 0.0759 0.6006 0.9711
O2 0.0781 0.2428 0.7467
O3 0.1032 0.6127 0.5329
O4 0.2157 0.0236 0.7740
O5 0.2789 0.7174 0.8137
O6 0.3504 0.1464 0.5086
O7 0.3689 0.1520 0.9913
O8 0.4477 0.5335 0.7606
```

***

Entry 2:
Theoretical X-ray powder pattern of BaW6O18 for Cu Kα (λ = 1.5418 Å), from a crystal structure in the Materials Project, relaxed with PBE+U.
Peak positions follow from Bragg's law for the DFT cell and can differ from measured ones.

Most intense lines, 2θ from 10° to 90°, in order of rising 2θ:
| Position (°2θ) | I_rel | h k l |
| --- | --- | --- |
| 19.98 | 46 | 4 0 -1 |
| 22.92 | 100 | 0 2 0 |
| 26.41 | 74 | 4 0 2 |
| 28.01 | 85 | 6 0 -1 |
| 30.59 | 51 | 4 2 1 |
| 31.11 | 31 | 2 0 -3 |
| 31.70 | 40 | 2 2 -2 |
| 35.24 | 32 | 4 2 -2 |
| 36.49 | 40 | 6 2 1 |
| 46.82 | 30 | 0 4 0 |
| 54.32 | 56 | 6 2 4 |
| 55.45 | 26 | 6 4 -1 |

Crystal structure
```
data_BaW6O18
_chemical_formula_sum 'Ba4 W24 O72'
_space_group_name_H-M_alt 'C 1 2/m 1'
_space_group_IT_number 12
_space_group_name_Hall '-C 2y'
_cell_length_a 20.4432
_cell_length_b 7.7612
_cell_length_c 8.9880
_cell_angle_alpha 90.00
_cell_angle_beta 90.01
_cell_angle_gamma 90.00
loop_
_atom_site_label
_atom_site_fract_x
_atom_site_fract_y
_atom_site_fract_z
Ba1 0.1242 0.0000 0.0854
W1 0.0319 0.2527 0.7934
W2 0.1251 0.2517 0.4330
W3 0.2182 0.2505 0.7937
O1 0.0000 0.2465 0.0000
O2 0.0315 0.5000 0.7961
O3 0.0325 0.0000 0.8032
O4 0.0580 0.2459 0.2765
O5 0.0609 0.2505 0.5905
O6 0.1251 0.0000 0.4248
O7 0.1250 0.2493 0.8551
O8 0.1249 0.5000 0.4292
O9 0.1891 0.2498 0.5905
O10 0.1920 0.2476 0.2764
O11 0.2165 0.0000 0.8016
O12 0.2193 0.5000 0.7978
O13 0.2500 0.2500 0.0000
```

***

Entry 3:
Theoretical X-ray powder pattern of BaWO4 for Cu Kα (λ = 1.5418 Å), from a crystal structure in the Materials Project, relaxed with PBE+U.
Peak positions follow from Bragg's law for the DFT cell and can differ from measured ones.

Most intense lines, 2θ from 10° to 90°, in order of rising 2θ:
| Position (°2θ) | I_rel | h k l |
| --- | --- | --- |
| 21.84 | 100 | 2 0 0 |
| 28.83 | 86 | 1 1 2 |
| 31.08 | 28 | 2 2 0 |
| 42.91 | 65 | 3 1 2 |
| 44.54 | 17 | 4 0 0 |
| 50.13 | 17 | 4 2 0 |
| 53.92 | 18 | 3 3 2 |
| 54.83 | 15 | 2 0 4 |
| 59.72 | 14 | 2 2 4 |
| 63.56 | 18 | 5 1 2 |
| 72.44 | 14 | 5 3 2 |
| 73.21 | 15 | 4 2 4 |

Crystal structure
```
data_BaWO4
_chemical_formula_sum 'Ba4 W4 O16'
_space_group_name_H-M_alt 'I 41/a m d'
_space_group_IT_number 141
_cell_length_a 8.1376
_cell_length_b 8.1376
_cell_length_c 7.3486
_cell_angle_alpha 90.00
_cell_angle_beta 90.00
_cell_angle_gamma 90.00
loop_
_space_group_symop_operation_xyz
'x,y,z'
'-x,-y,-z'
'-y+1/4,x+3/4,z+1/4'
'y+1/4,-x+3/4,-z+1/4'
'-x+1/2,-y,z+1/2'
'x+1/2,y,-z+1/2'
'y+1/4,-x+1/4,z+3/4'
'-y+1/4,x+1/4,-z+3/4'
'x,-y,-z'
'-x,y,z'
'-y+1/4,-x+1/4,-z+3/4'
'y+1/4,x+1/4,z+3/4'
'-x+1/2,y,-z+1/2'
'x+1/2,-y,z+1/2'
'y+1/4,x+3/4,-z+1/4'
'-y+1/4,-x+3/4,z+1/4'
'x+1/2,y+1/2,z+1/2'
'-x+1/2,-y+1/2,-z+1/2'
'-y+3/4,x+1/4,z+3/4'
'y+3/4,-x+1/4,-z+3/4'
'-x,-y+1/2,z'
'x,y+1/2,-z'
'y+3/4,-x+3/4,z+1/4'
'-y+3/4,x+3/4,-z+1/4'
'x+1/2,-y+1/2,-z+1/2'
'-x+1/2,y+1/2,z+1/2'
'-y+3/4,-x+3/4,-z+1/4'
'y+3/4,x+3/4,z+1/4'
'-x,y+1/2,-z'
'x,-y+1/2,z'
'y+3/4,x+1/4,-z+3/4'
'-y+3/4,-x+1/4,z+3/4'
loop_
_atom_site_label
_atom_site_fract_x
_atom_site_fract_y
_atom_site_fract_z
Ba1 0.0000 0.2500 0.3750
W1 0.0000 0.2500 0.8750
O1 0.0000 0.0730 0.7235
```

***

Entry 4:
Theoretical X-ray powder pattern of BaWO4 for Cu Kα (λ = 1.5418 Å), from a crystal structure in the Materials Project, relaxed with PBE+U.
Peak positions follow from Bragg's law for the DFT cell and can differ from measured ones.

Most intense lines, 2θ from 10° to 90°, in order of rising 2θ:
| Position (°2θ) | I_rel | h k l |
| --- | --- | --- |
| 13.15 | 20 | 0 0 2 |
| 20.87 | 31 | 1 1 1 |
| 26.02 | 62 | 2 0 0 |
| 26.48 | 29 | 0 0 4 |
| 27.12 | 52 | 1 2 -1 |
| 27.75 | 100 | 2 0 -4 |
| 29.23 | 31 | 0 1 4 |
| 29.86 | 18 | 1 2 1 |
| 30.65 | 29 | 1 2 -3 |
| 30.78 | 25 | 1 1 3 |
| 44.74 | 33 | 3 2 -1 |
| 56.13 | 17 | 2 4 -1 |

Crystal structure
```
data_BaWO4
_chemical_formula_sum 'Ba8 W8 O32'
_space_group_name_H-M_alt 'P 1 21/c 1'
_space_group_IT_number 14
_space_group_name_Hall '-P 2ybc'
_cell_length_a 7.6320
_cell_length_b 7.2902
_cell_length_c 15.0011
_cell_angle_alpha 90.00
_cell_angle_beta 116.18
_cell_angle_gamma 90.00
loop_
_atom_site_label
_atom_site_fract_x
_atom_site_fract_y
_atom_site_fract_z
Ba1 0.0028 0.1592 0.1600
Ba2 0.4911 0.5642 0.8514
W1 0.0130 0.1596 0.4222
W2 0.4163 0.5506 0.5790
O1 0.1269 0.0730 0.5755
O2 0.1355 0.7491 0.7045
O3 0.1683 0.1303 0.9746
O4 0.1811 0.0227 0.3914
O5 0.2100 0.7238 0.5445
O6 0.3787 0.0870 0.1722
O7 0.3876 0.1918 0.8353
O8 0.4180 0.6347 0.4449
```